(1)
Calculated powder diffractogram
Compound: Hf5TiP3
Radiation: Cu Kα X-rays
Structure: a DFT-relaxed cell (GGA-PBE, Alexandria)
No peak broadening, texture or thermal motion is included.

Cell and atoms:
```
data_Hf5TiP3
_chemical_formula_sum 'Hf10 Ti2 P6'
_cell_length_a 6.9029
_cell_length_b 6.9029
_cell_length_c 8.8843
_cell_angle_alpha 108.77
_cell_angle_beta 108.77
_cell_angle_gamma 74.64
_space_group_name_H-M_alt 'P 1'
_space_group_IT_number 1
_space_group_name_Hall 'P 1'
loop_
_atom_site_label
_atom_site_type_symbol
_atom_site_fract_x
_atom_site_fract_y
_atom_site_fract_z
Hf1 Hf 0.0400 0.0400 0.3446
Hf2 Hf 0.1350 0.5510 0.3193
Hf3 Hf 0.2030 0.7970 0.0000
Hf4 Hf 0.2584 0.2584 0.9554
Hf5 Hf 0.4490 0.8650 0.6807
Hf6 Hf 0.5510 0.1350 0.3193
Hf7 Hf 0.7416 0.7416 0.0446
Hf8 Hf 0.7970 0.2030 0.0000
Hf9 Hf 0.8650 0.4490 0.6807
Hf10 Hf 0.9600 0.9600 0.6554
Ti1 Ti 0.4173 0.4173 0.7099
Ti2 Ti 0.5827 0.5827 0.2901
P1 P 0.1701 0.1701 0.1736
P2 P 0.1875 0.1875 0.6456
P3 P 0.5000 0.5000 0.0000
P4 P 0.5000 0.5000 0.5000
P5 P 0.8125 0.8125 0.3544
P6 P 0.8299 0.8299 0.8264
```

Most intense lines, 2θ from 10° to 90°, sorted by position:
| 2θ (°) | d (Å) | I/Imax |
| --- | --- | --- |
| 21.9 | 4.062 | 17 |
| 30.7 | 2.915 | 76 |
| 32.5 | 2.755 | 100 |
| 32.8 | 2.730 | 43 |
| 33.1 | 2.708 | 49 |
| 34.0 | 2.639 | 34 |
| 34.8 | 2.577 | 28 |
| 43.2 | 2.092 | 18 |
| 49.8 | 1.830 | 25 |
| 53.2 | 1.720 | 21 |
| 53.5 | 1.712 | 20 |
| 62.0 | 1.497 | 19 |

***

(2)
Calculated powder diffractogram
Compound: Sr6Rh5O15
Radiation: Cu Kα X-rays
Structure: a DFT-relaxed cell (GGA-PBE, Alexandria)
No peak broadening, texture or thermal motion is included.

Cell and atoms:
```
data_Sr6Rh5O15
_chemical_formula_sum 'Sr6 Rh5 O15'
_cell_length_a 7.1792
_cell_length_b 7.1792
_cell_length_c 7.1792
_cell_angle_alpha 85.66
_cell_angle_beta 85.66
_cell_angle_gamma 85.66
_space_group_name_H-M_alt 'P 1'
_space_group_IT_number 1
_space_group_name_Hall 'P 1'
loop_
_atom_site_label
_atom_site_type_symbol
_atom_site_fract_x
_atom_site_fract_y
_atom_site_fract_z
Sr1 Sr 0.0000 0.3173 0.6827
Sr2 Sr 0.1460 0.8540 0.5000
Sr3 Sr 0.3173 0.6827 0.0000
Sr4 Sr 0.5000 0.1460 0.8540
Sr5 Sr 0.6827 0.0000 0.3173
Sr6 Sr 0.8540 0.5000 0.1460
Rh1 Rh 0.0968 0.0968 0.0968
Rh2 Rh 0.2932 0.2932 0.2932
Rh3 Rh 0.5000 0.5000 0.5000
Rh4 Rh 0.7068 0.7068 0.7068
Rh5 Rh 0.9032 0.9032 0.9032
O1 O 0.0000 0.8350 0.1650
O2 O 0.0189 0.2116 0.3484
O3 O 0.1650 0.0000 0.8350
O4 O 0.2116 0.3484 0.0189
O5 O 0.2703 0.5671 0.3460
O6 O 0.3460 0.2703 0.5671
O7 O 0.3484 0.0189 0.2116
O8 O 0.4329 0.7297 0.6540
O9 O 0.5671 0.3460 0.2703
O10 O 0.6516 0.7884 0.9811
O11 O 0.6540 0.4329 0.7297
O12 O 0.7297 0.6540 0.4329
O13 O 0.7884 0.9811 0.6516
O14 O 0.8350 0.1650 0.0000
O15 O 0.9811 0.6516 0.7884
```

Most intense lines, 2θ from 10° to 90°, sorted by position:
| 2θ (°) | d (Å) | I/Imax |
| --- | --- | --- |
| 18.2 | 4.881 | 48 |
| 27.1 | 3.287 | 55 |
| 31.8 | 2.818 | 100 |
| 40.0 | 2.256 | 20 |
| 42.2 | 2.139 | 32 |
| 44.2 | 2.048 | 32 |
| 51.9 | 1.761 | 15 |
| 53.8 | 1.704 | 14 |
| 56.6 | 1.627 | 20 |
| 58.9 | 1.569 | 18 |
| 65.8 | 1.419 | 10 |
| 66.3 | 1.409 | 16 |

***

(3)
Calculated powder diffractogram
Compound: La8Ir3Rh
Radiation: Cu Kα X-rays
Structure: a DFT-relaxed cell (GGA-PBE, Alexandria)
No peak broadening, texture or thermal motion is included.

Cell and atoms:
```
data_La8Ir3Rh
_chemical_formula_sum 'La8 Ir3 Rh1'
_cell_length_a 9.2534
_cell_length_b 9.2534
_cell_length_c 9.2632
_cell_angle_alpha 107.23
_cell_angle_beta 107.23
_cell_angle_gamma 36.48
_space_group_name_H-M_alt 'P 1'
_space_group_IT_number 1
_space_group_name_Hall 'P 1'
loop_
_atom_site_label
_atom_site_type_symbol
_atom_site_fract_x
_atom_site_fract_y
_atom_site_fract_z
La1 La 0.0000 0.0000 0.0000
La2 La 0.1038 0.1038 0.6520
La3 La 0.2194 0.2194 0.3596
La4 La 0.3227 0.3227 0.0125
La5 La 0.4329 0.4329 0.6696
La6 La 0.5400 0.5400 0.3185
La7 La 0.7824 0.7824 0.6943
La8 La 0.8897 0.8897 0.3417
Ir1 Ir 0.0531 0.0531 0.3178
Ir2 Ir 0.2695 0.2695 0.6931
Ir3 Ir 0.3752 0.3752 0.3261
Rh1 Rh 0.9497 0.9497 0.6922
```

Most intense lines, 2θ from 10° to 90°, sorted by position:
| 2θ (°) | d (Å) | I/Imax |
| --- | --- | --- |
| 10.1 | 8.801 | 37 |
| 10.6 | 8.350 | 25 |
| 16.2 | 5.473 | 45 |
| 20.2 | 4.400 | 16 |
| 30.5 | 2.931 | 100 |
| 30.9 | 2.897 | 52 |
| 43.6 | 2.078 | 18 |
| 43.8 | 2.068 | 17 |
| 43.9 | 2.060 | 74 |
| 54.3 | 1.688 | 18 |
| 54.5 | 1.683 | 18 |
| 72.8 | 1.298 | 17 |

***

(4)
Calculated powder diffractogram
Compound: KEuSn2O6
Radiation: Cu Kα X-rays
Structure: a DFT-relaxed cell (GGA-PBE, Alexandria)
No peak broadening, texture or thermal motion is included.

Cell and atoms:
```
data_KEuSn2O6
_chemical_formula_sum 'K1 Eu1 Sn2 O6'
_cell_length_a 5.8036
_cell_length_b 5.8036
_cell_length_c 5.8036
_cell_angle_alpha 60.00
_cell_angle_beta 60.00
_cell_angle_gamma 60.00
_space_group_name_H-M_alt 'P 1'
_space_group_IT_number 1
_space_group_name_Hall 'P 1'
loop_
_atom_site_label
_atom_site_type_symbol
_atom_site_fract_x
_atom_site_fract_y
_atom_site_fract_z
K1 K 0.0000 0.0000 0.0000
Eu1 Eu 0.5000 0.5000 0.5000
Sn1 Sn 0.2500 0.2500 0.2500
Sn2 Sn 0.7500 0.7500 0.7500
O1 O 0.0000 0.0000 0.5000
O2 O 0.0000 0.5000 0.0000
O3 O 0.0000 0.5000 0.5000
O4 O 0.5000 0.0000 0.0000
O5 O 0.5000 0.0000 0.5000
O6 O 0.5000 0.5000 0.0000
```

Most intense lines, 2θ from 10° to 90°, sorted by position:
| 2θ (°) | d (Å) | I/Imax |
| --- | --- | --- |
| 18.7 | 4.739 | 16 |
| 21.7 | 4.104 | 5 |
| 30.8 | 2.902 | 100 |
| 36.3 | 2.475 | 10 |
| 44.1 | 2.052 | 32 |
| 48.3 | 1.883 | 5 |
| 54.8 | 1.675 | 41 |
| 58.4 | 1.580 | 4 |
| 64.2 | 1.451 | 20 |
| 72.9 | 1.298 | 18 |
| 81.2 | 1.185 | 7 |
| 89.3 | 1.097 | 23 |

***

(5)
Calculated powder diffractogram
Compound: SrCa2Tm
Radiation: Cu Kα X-rays
Structure: a DFT-relaxed cell (GGA-PBE, Alexandria)
No peak broadening, texture or thermal motion is included.

Cell and atoms:
```
data_SrCa2Tm
_chemical_formula_sum 'Sr1 Ca2 Tm1'
_cell_length_a 3.9991
_cell_length_b 3.9991
_cell_length_c 10.1817
_cell_angle_alpha 90.00
_cell_angle_beta 90.00
_cell_angle_gamma 90.00
_space_group_name_H-M_alt 'P 1'
_space_group_IT_number 1
_space_group_name_Hall 'P 1'
loop_
_atom_site_label
_atom_site_type_symbol
_atom_site_fract_x
_atom_site_fract_y
_atom_site_fract_z
Sr1 Sr 0.0000 0.0000 0.0000
Ca1 Ca 0.5000 0.5000 0.2830
Ca2 Ca 0.5000 0.5000 0.7170
Tm1 Tm 0.0000 0.0000 0.5000
```

Most intense lines, 2θ from 10° to 90°, sorted by position:
| 2θ (°) | d (Å) | I/Imax |
| --- | --- | --- |
| 17.4 | 5.091 | 22 |
| 22.2 | 3.999 | 23 |
| 28.4 | 3.145 | 100 |
| 31.6 | 2.828 | 39 |
| 35.3 | 2.545 | 12 |
| 36.3 | 2.472 | 15 |
| 42.1 | 2.147 | 12 |
| 45.4 | 2.000 | 14 |
| 48.1 | 1.892 | 20 |
| 54.4 | 1.687 | 31 |
| 58.7 | 1.572 | 11 |
| 59.1 | 1.562 | 9 |

***

(6)
Calculated powder diffractogram
Compound: SrLaTb4Se8
Radiation: Cu Kα X-rays
Structure: a DFT-relaxed cell (GGA-PBE, Alexandria)
No peak broadening, texture or thermal motion is included.

Cell and atoms:
```
data_SrLaTb4Se8
_chemical_formula_sum 'Sr1 La1 Tb4 Se8'
_cell_length_a 8.6927
_cell_length_b 8.6927
_cell_length_c 8.6927
_cell_angle_alpha 59.00
_cell_angle_beta 59.00
_cell_angle_gamma 59.00
_space_group_name_H-M_alt 'P 1'
_space_group_IT_number 1
_space_group_name_Hall 'P 1'
loop_
_atom_site_label
_atom_site_type_symbol
_atom_site_fract_x
_atom_site_fract_y
_atom_site_fract_z
Sr1 Sr 0.0000 0.0000 0.0000
La1 La 0.3714 0.3714 0.3714
Tb1 Tb 0.3713 0.3713 0.8779
Tb2 Tb 0.3713 0.8779 0.3713
Tb3 Tb 0.7468 0.7468 0.7468
Tb4 Tb 0.8779 0.3713 0.3713
Se1 Se 0.1295 0.1295 0.5852
Se2 Se 0.1295 0.5852 0.1295
Se3 Se 0.1367 0.1367 0.1367
Se4 Se 0.1417 0.6222 0.6222
Se5 Se 0.5852 0.1295 0.1295
Se6 Se 0.6150 0.6150 0.6150
Se7 Se 0.6222 0.1417 0.6222
Se8 Se 0.6222 0.6222 0.1417
```

Most intense lines, 2θ from 10° to 90°, sorted by position:
| 2θ (°) | d (Å) | I/Imax |
| --- | --- | --- |
| 12.6 | 7.008 | 22 |
| 24.0 | 3.713 | 33 |
| 24.2 | 3.673 | 72 |
| 24.4 | 3.653 | 37 |
| 29.3 | 3.050 | 100 |
| 38.1 | 2.362 | 28 |
| 38.4 | 2.346 | 32 |
| 38.5 | 2.336 | 23 |
| 41.6 | 2.173 | 82 |
| 42.2 | 2.140 | 82 |
| 60.7 | 1.525 | 25 |
| 76.7 | 1.242 | 25 |

***

(7)
Calculated powder diffractogram
Compound: Y3Zn2Ag
Radiation: Cu Kα X-rays
Structure: a DFT-relaxed cell (GGA-PBE, Alexandria)
No peak broadening, texture or thermal motion is included.

Cell and atoms:
```
data_Y3Zn2Ag
_chemical_formula_sum 'Y3 Zn2 Ag1'
_cell_length_a 3.6015
_cell_length_b 3.6015
_cell_length_c 10.7821
_cell_angle_alpha 90.00
_cell_angle_beta 90.00
_cell_angle_gamma 90.00
_space_group_name_H-M_alt 'P 1'
_space_group_IT_number 1
_space_group_name_Hall 'P 1'
loop_
_atom_site_label
_atom_site_type_symbol
_atom_site_fract_x
_atom_site_fract_y
_atom_site_fract_z
Y1 Y 0.0000 0.0000 0.0000
Y2 Y 0.0000 0.0000 0.3265
Y3 Y 0.0000 0.0000 0.6735
Zn1 Zn 0.5000 0.5000 0.1611
Zn2 Zn 0.5000 0.5000 0.8389
Ag1 Ag 0.5000 0.5000 0.5000
```

Most intense lines, 2θ from 10° to 90°, sorted by position:
| 2θ (°) | d (Å) | I/Imax |
| --- | --- | --- |
| 16.4 | 5.391 | 1 |
| 26.1 | 3.416 | 1 |
| 29.8 | 2.995 | 2 |
| 35.3 | 2.545 | 100 |
| 50.7 | 1.801 | 12 |
| 50.8 | 1.797 | 6 |
| 55.9 | 1.646 | 1 |
| 63.3 | 1.469 | 34 |
| 74.6 | 1.272 | 10 |
| 85.2 | 1.139 | 10 |
| 85.4 | 1.137 | 4 |

***

(8)
Calculated powder diffractogram
Compound: TcMoRu4
Radiation: Cu Kα X-rays
Structure: a DFT-relaxed cell (GGA-PBE, Alexandria)
No peak broadening, texture or thermal motion is included.

Cell and atoms:
```
data_TcMoRu4
_chemical_formula_sum 'Tc1 Mo1 Ru4'
_cell_length_a 4.3622
_cell_length_b 7.2747
_cell_length_c 7.2747
_cell_angle_alpha 21.83
_cell_angle_beta 90.00
_cell_angle_gamma 90.00
_space_group_name_H-M_alt 'P 1'
_space_group_IT_number 1
_space_group_name_Hall 'P 1'
loop_
_atom_site_label
_atom_site_type_symbol
_atom_site_fract_x
_atom_site_fract_y
_atom_site_fract_z
Tc1 Tc 0.0000 0.0000 0.0000
Mo1 Mo 0.5000 0.7777 0.7777
Ru1 Ru 0.0000 0.3329 0.3329
Ru2 Ru 0.0000 0.6663 0.6663
Ru3 Ru 0.5000 0.1101 0.1101
Ru4 Ru 0.5000 0.4474 0.4474
```

Most intense lines, 2θ from 10° to 90°, sorted by position:
| 2θ (°) | d (Å) | I/Imax |
| --- | --- | --- |
| 37.7 | 2.383 | 25 |
| 41.4 | 2.181 | 25 |
| 43.3 | 2.091 | 100 |
| 57.3 | 1.609 | 14 |
| 68.1 | 1.377 | 6 |
| 68.2 | 1.375 | 11 |
| 76.8 | 1.241 | 18 |
| 80.6 | 1.192 | 2 |
| 83.0 | 1.164 | 19 |
| 84.2 | 1.150 | 9 |
| 84.3 | 1.149 | 5 |
| 90.0 | 1.091 | 3 |

***

(9)
Calculated powder diffractogram
Compound: Sr2I3Cl
Radiation: Cu Kα X-rays
Structure: a DFT-relaxed cell (GGA-PBE, Alexandria)
No peak broadening, texture or thermal motion is included.

Cell and atoms:
```
data_Sr2I3Cl
_chemical_formula_sum 'Sr4 I6 Cl2'
_cell_length_a 8.9567
_cell_length_b 8.9567
_cell_length_c 8.9567
_cell_angle_alpha 115.40
_cell_angle_beta 103.32
_cell_angle_gamma 109.92
_space_group_name_H-M_alt 'P 1'
_space_group_IT_number 1
_space_group_name_Hall 'P 1'
loop_
_atom_site_label
_atom_site_type_symbol
_atom_site_fract_x
_atom_site_fract_y
_atom_site_fract_z
Sr1 Sr 0.0000 0.0000 0.5000
Sr2 Sr 0.0000 0.5000 0.0000
Sr3 Sr 0.4587 0.2087 0.2500
Sr4 Sr 0.5413 0.7913 0.7500
I1 I 0.2155 0.4655 0.7500
I2 I 0.2997 0.0000 0.7997
I3 I 0.2997 0.5000 0.2997
I4 I 0.7003 0.0000 0.2003
I5 I 0.7003 0.5000 0.7003
I6 I 0.7845 0.5345 0.2500
Cl1 Cl 0.1742 0.9242 0.2500
Cl2 Cl 0.8258 0.0758 0.7500
```

Most intense lines, 2θ from 10° to 90°, sorted by position:
| 2θ (°) | d (Å) | I/Imax |
| --- | --- | --- |
| 17.2 | 5.143 | 63 |
| 23.6 | 3.774 | 23 |
| 24.5 | 3.626 | 93 |
| 25.4 | 3.504 | 100 |
| 25.6 | 3.485 | 39 |
| 31.8 | 2.817 | 78 |
| 32.2 | 2.778 | 30 |
| 33.1 | 2.703 | 22 |
| 34.9 | 2.571 | 28 |
| 37.6 | 2.393 | 39 |
| 40.5 | 2.227 | 78 |
| 41.5 | 2.175 | 24 |

***

(10)
Calculated powder diffractogram
Compound: TaPbS4
Radiation: Cu Kα X-rays
Structure: a DFT-relaxed cell (GGA-PBE, Alexandria)
No peak broadening, texture or thermal motion is included.

Cell and atoms:
```
data_TaPbS4
_chemical_formula_sum 'Ta2 Pb2 S8'
_cell_length_a 10.1085
_cell_length_b 10.1085
_cell_length_c 6.3238
_cell_angle_alpha 90.00
_cell_angle_beta 90.00
_cell_angle_gamma 152.27
_space_group_name_H-M_alt 'P 1'
_space_group_IT_number 1
_space_group_name_Hall 'P 1'
loop_
_atom_site_label
_atom_site_type_symbol
_atom_site_fract_x
_atom_site_fract_y
_atom_site_fract_z
Ta1 Ta 0.0845 0.9155 0.5000
Ta2 Ta 0.9155 0.0845 0.0000
Pb1 Pb 0.3224 0.6776 0.4023
Pb2 Pb 0.6776 0.3224 0.9023
S1 S 0.0318 0.9682 0.8730
S2 S 0.1175 0.8825 0.1459
S3 S 0.2008 0.7992 0.6610
S4 S 0.4125 0.5875 0.0319
S5 S 0.5875 0.4125 0.5319
S6 S 0.7992 0.2008 0.1610
S7 S 0.8825 0.1175 0.6459
S8 S 0.9682 0.0318 0.3730
```

Most intense lines, 2θ from 10° to 90°, sorted by position:
| 2θ (°) | d (Å) | I/Imax |
| --- | --- | --- |
| 18.1 | 4.907 | 22 |
| 22.8 | 3.894 | 30 |
| 22.9 | 3.877 | 99 |
| 23.6 | 3.774 | 100 |
| 28.2 | 3.162 | 24 |
| 29.3 | 3.050 | 34 |
| 36.6 | 2.454 | 52 |
| 37.1 | 2.423 | 42 |
| 41.1 | 2.195 | 24 |
| 44.1 | 2.055 | 37 |
| 47.3 | 1.924 | 27 |
| 48.0 | 1.897 | 23 |

***

(11)
Calculated powder diffractogram
Compound: LaAl2S4
Radiation: Cu Kα X-rays
Structure: a DFT-relaxed cell (GGA-PBE, Alexandria)
No peak broadening, texture or thermal motion is included.

Cell and atoms:
```
data_LaAl2S4
_chemical_formula_sum 'La2 Al4 S8'
_cell_length_a 7.2256
_cell_length_b 7.2256
_cell_length_c 7.9453
_cell_angle_alpha 102.72
_cell_angle_beta 102.72
_cell_angle_gamma 119.94
_space_group_name_H-M_alt 'P 1'
_space_group_IT_number 1
_space_group_name_Hall 'P 1'
loop_
_atom_site_label
_atom_site_type_symbol
_atom_site_fract_x
_atom_site_fract_y
_atom_site_fract_z
La1 La 0.1256 0.8744 0.5000
La2 La 0.8744 0.1256 0.0000
Al1 Al 0.3947 0.4626 0.6731
Al2 Al 0.4626 0.3947 0.1731
Al3 Al 0.5358 0.9689 0.3304
Al4 Al 0.9689 0.5358 0.8304
S1 S 0.1479 0.6620 0.1514
S2 S 0.2478 0.2634 0.3525
S3 S 0.2634 0.2478 0.8525
S4 S 0.2872 0.7064 0.7529
S5 S 0.6620 0.1479 0.6514
S6 S 0.7051 0.7861 0.2484
S7 S 0.7064 0.2872 0.2529
S8 S 0.7861 0.7051 0.7484
```

Most intense lines, 2θ from 10° to 90°, sorted by position:
| 2θ (°) | d (Å) | I/Imax |
| --- | --- | --- |
| 15.4 | 5.764 | 40 |
| 15.5 | 5.703 | 41 |
| 18.9 | 4.704 | 100 |
| 23.3 | 3.815 | 46 |
| 23.7 | 3.761 | 44 |
| 25.4 | 3.509 | 37 |
| 28.5 | 3.130 | 65 |
| 31.0 | 2.888 | 48 |
| 31.2 | 2.865 | 42 |
| 38.3 | 2.352 | 49 |
| 38.5 | 2.339 | 46 |
| 38.6 | 2.333 | 39 |

***

(12)
Calculated powder diffractogram
Compound: Pb3BrCl5
Radiation: Cu Kα X-rays
Structure: a DFT-relaxed cell (GGA-PBE, Alexandria)
No peak broadening, texture or thermal motion is included.

Cell and atoms:
```
data_Pb3BrCl5
_chemical_formula_sum 'Pb6 Br2 Cl10'
_cell_length_a 8.1967
_cell_length_b 8.1967
_cell_length_c 10.7721
_cell_angle_alpha 108.46
_cell_angle_beta 108.46
_cell_angle_gamma 71.69
_space_group_name_H-M_alt 'P 1'
_space_group_IT_number 1
_space_group_name_Hall 'P 1'
loop_
_atom_site_label
_atom_site_type_symbol
_atom_site_fract_x
_atom_site_fract_y
_atom_site_fract_z
Pb1 Pb 0.0000 0.0000 0.0000
Pb2 Pb 0.0000 0.0000 0.5000
Pb3 Pb 0.3306 0.3306 0.3328
Pb4 Pb 0.3450 0.3450 0.8267
Pb5 Pb 0.6550 0.6550 0.1733
Pb6 Pb 0.6694 0.6694 0.6672
Br1 Br 0.1112 0.1112 0.8046
Br2 Br 0.8888 0.8888 0.1954
Cl1 Cl 0.0354 0.6419 0.8256
Cl2 Cl 0.2305 0.2305 0.5289
Cl3 Cl 0.3048 0.6952 0.5000
Cl4 Cl 0.3581 0.9646 0.1744
Cl5 Cl 0.4214 0.4214 0.1200
Cl6 Cl 0.5786 0.5786 0.8800
Cl7 Cl 0.6419 0.0354 0.8256
Cl8 Cl 0.6952 0.3048 0.5000
Cl9 Cl 0.7695 0.7695 0.4711
Cl10 Cl 0.9646 0.3581 0.1744
```

Most intense lines, 2θ from 10° to 90°, sorted by position:
| 2θ (°) | d (Å) | I/Imax |
| --- | --- | --- |
| 18.1 | 4.900 | 62 |
| 18.5 | 4.800 | 77 |
| 23.7 | 3.752 | 100 |
| 26.0 | 3.429 | 23 |
| 35.3 | 2.545 | 66 |
| 35.7 | 2.517 | 56 |
| 36.7 | 2.450 | 16 |
| 37.5 | 2.400 | 19 |
| 40.2 | 2.241 | 17 |
| 44.5 | 2.036 | 54 |
| 44.6 | 2.031 | 17 |
| 59.5 | 1.553 | 21 |